Dy2MgSe4: theoretical XRD peak list (λ = 1.5418 Å (Cu Kα)), based on DFT lattice parameters and positions (GGA-PBE).
No peak broadening, texture or thermal motion is included.

Main lines, in order of rising 2θ (2θ = 10–90°):
index  2θ/deg  I/Imax
1 0 1  14.34  33
2 0 0  20.72  28
1 1 2  24.82  33
1 0 3  31.92  57
3 0 1  32.92  55
3 1 0  33.04  100
2 1 3  38.36  81
3 2 1  39.21  42
3 2 3  49.10  29
3 1 4  53.26  22

Structural model:
Cell lengths 8.5739, 8.5739, 8.9003 Å; angles 90.00, 90.00, 90.00 degrees
Space group I-42d (No. 122)
Inequivalent atoms, fractional coordinates:
Dy1 0.1316 0.2500 0.1250
Mg1 0.0000 0.0000 0.5000
Se1 0.0662 0.1955 0.8123